The following is a computed powder diffractogram of Sc5Co3. It was derived from a structure optimized by DFT (GGA-PBE), using a wavelength of 1.5418 Å.

Main lines, by intensity (10 to 90 degrees two-theta):
40.5 deg, intensity 100, (4 2 0); 37.3 deg, intensity 40, (2 1 2); 32.4 deg, intensity 32, (3 1 1); 25.3 deg, intensity 31, (2 1 1); 36.0 deg, intensity 30, (3 2 1); 42.6 deg, intensity 27, (3 1 2); 51.9 deg, intensity 18, (4 4 0); 52.0 deg, intensity 18, (2 1 3); 41.6 deg, intensity 16, (3 0 2); 45.6 deg, intensity 12, (3 2 2)

Structural model:
```
32
Lattice="9.974 0.000 0.000 0.000 9.974 0.000 0.000 0.000 5.736" Properties=species:S:1:pos:R:3 pbc="T T T"
Sc 0.398 1.644 0.740
Sc 0.398 3.343 3.608
Sc 1.644 0.398 3.608
Sc 1.644 4.589 0.740
Sc 2.494 7.481 0.000
Sc 2.494 7.481 2.868
Sc 3.343 0.398 0.740
Sc 3.343 4.589 3.608
Sc 4.589 1.644 3.608
Sc 4.589 3.343 0.740
Sc 5.385 6.631 4.996
Sc 5.385 8.330 2.128
Sc 6.631 5.385 2.128
Sc 6.631 9.576 4.996
Sc 7.481 2.494 0.000
Sc 7.481 2.494 2.868
Sc 8.330 5.385 4.996
Sc 8.330 9.576 2.128
Sc 9.576 6.631 2.128
Sc 9.576 8.330 4.996
Co 0.941 5.928 4.302
Co 0.941 9.033 1.434
Co 2.494 2.494 2.098
Co 2.494 2.494 4.966
Co 4.046 5.928 1.434
Co 4.046 9.033 4.302
Co 5.928 0.941 1.434
Co 5.928 4.046 4.302
Co 7.481 7.481 0.770
Co 7.481 7.481 3.638
Co 9.033 0.941 4.302
Co 9.033 4.046 1.434
```